The following is a theoretical powder XRD pattern of SrMnCr2F8. It was derived from a cell relaxed with GGA+U, using CuKα.

Peak list (10 most intense, 2θ = 10–90°, sorted by position)
h k l	d (Å)	two_theta	I (rel.)
1 0 1	5.151	17.22	10
2 0 0	3.629	24.53	100
1 1 2	2.979	30.00	61
2 2 0	2.566	34.96	10
3 0 1	2.297	39.22	13
3 1 2	1.944	46.72	73
4 0 0	1.815	50.28	17
2 0 4	1.633	56.33	16
3 3 2	1.550	59.66	24
5 3 2	1.179	81.71	10

Atomic structure:
Cell: 7.259 7.259 7.315 Å, 90.00 90.00 90.00°
Space group I-4m2 (No. 119)
One atom of each set of equivalent atoms:
Sr1 0.000 0.000 0.000 [2 per cell]
Mn1 0.000 0.500 0.750 [2 per cell]
Cr1 0.000 0.000 0.500 [2 per cell]
Cr2 0.000 0.500 0.250 [2 per cell]
F1 0.000 0.200 0.699 [8 per cell]
F2 0.000 0.327 0.042 [8 per cell]